Simulated powder XRD pattern
Compound: CaV4O8
Radiation: Cu Ka
Structure: a structure optimized by DFT (GGA+U)
Neutral-atom scattering factors, no anomalous dispersion.

Structural model:
a = 10.523 Å, b = 5.923 Å, c = 7.518 Å
α = 90.00°, β = 131.73°, γ = 90.00°
Space group C2/m (No. 12)
Symmetry-distinct sites (fractional):
Ca: 0.000 0.000 0.000 [2 per cell]
V: 0.000 0.251 0.500 [4 per cell]
V: 0.230 0.500 0.449 [4 per cell]
O: 0.003 0.500 0.323 [4 per cell]
O: 0.012 0.000 0.329 [4 per cell]
O: 0.233 0.239 0.307 [8 per cell]

Principal peaks in the range 2θ from 5° to 70°, in order of rising 2θ:
| 2θ (°) | d (Å) | I_rel | index |
| --- | --- | --- | --- |
| 15.80 | 5.610 | 1000 | 0 0 1 |
| 29.82 | 2.997 | 70 | 1 1 -2 |
| 34.12 | 2.628 | 85 | 4 0 -2 |
| 34.77 | 2.580 | 193 | 2 2 -1 |
| 37.11 | 2.423 | 120 | 4 0 -1 |
| 38.74 | 2.324 | 229 | 2 2 -2 |
| 46.24 | 1.963 | 152 | 4 0 0 |
| 47.33 | 1.921 | 77 | 2 2 1 |
| 48.48 | 1.878 | 284 | 2 2 -3 |
| 61.49 | 1.508 | 115 | 6 2 -3 |